(1)
This entry pairs a crystal structure of ThNi2 with its simulated X-ray powder pattern. Radiation: Cu Kα (λ = 1.5418 Å). Structure: a GGA-PBE-relaxed structure.
Peak positions follow from Bragg's law for the DFT cell and can differ from measured ones.

The 10 most intense peaks (2θ from 15° to 90°), sorted by position:
2θ (°)	I_rel
24.99	34
34.75	100
44.02	39
48.63	10
55.44	8
57.27	24
67.66	21
74.94	22
80.95	6
81.75	9

Crystal structure
```
data_ThNi2
_space_group_name_H-M_alt 'P 1'
_space_group_IT_number 1
_cell_length_a 4.114
_cell_length_b 4.114
_cell_length_c 3.745
_cell_angle_alpha 90.00
_cell_angle_beta 90.00
_cell_angle_gamma 120.00
loop_
_space_group_symop_operation_xyz
'x,y,z'
loop_
_atom_site_label
_atom_site_type_symbol
_atom_site_fract_x
_atom_site_fract_y
_atom_site_fract_z
Th1 Th 0.000 0.000 0.000
Ni1 Ni 0.333 0.667 0.500
Ni2 Ni 0.667 0.333 0.500
```



(2)
This entry pairs a crystal structure of CsCrBr3 with its simulated X-ray powder pattern. Radiation: Cu Kα (λ = 1.5418 Å). Structure: a GGA-PBE-relaxed structure.
Peak positions follow from Bragg's law for the DFT cell and can differ from measured ones.

The 10 most intense peaks (2θ from 15° to 90°), sorted by position:
2θ (°)	I_rel
26.53	11
27.48	21
29.94	100
38.56	27
46.83	24
50.14	23
55.15	16
56.59	15
76.42	12
76.53	11

Crystal structure
```
data_CsCrBr3
_space_group_name_H-M_alt 'P 1'
_space_group_IT_number 1
_cell_length_a 7.760
_cell_length_b 7.760
_cell_length_c 6.493
_cell_angle_alpha 90.00
_cell_angle_beta 90.00
_cell_angle_gamma 120.00
loop_
_space_group_symop_operation_xyz
'x,y,z'
loop_
_atom_site_label
_atom_site_type_symbol
_atom_site_fract_x
_atom_site_fract_y
_atom_site_fract_z
Cs1 Cs 0.333 0.667 0.000
Cs2 Cs 0.667 0.333 0.500
Cr1 Cr 0.000 0.000 0.258
Cr2 Cr 0.000 0.000 0.758
Br1 Br 0.158 0.315 0.507
Br2 Br 0.158 0.842 0.507
Br3 Br 0.315 0.158 0.007
Br4 Br 0.685 0.842 0.507
Br5 Br 0.842 0.158 0.007
Br6 Br 0.842 0.685 0.007
```



(3)
This entry pairs a crystal structure of La3Si2S8Cl with its simulated X-ray powder pattern. Radiation: Cu Kα (λ = 1.5418 Å). Structure: a GGA-PBE-relaxed structure.
Peak positions follow from Bragg's law for the DFT cell and can differ from measured ones.

The 10 most intense peaks (2θ from 15° to 90°), sorted by position:
2θ (°)	I_rel
16.10	85
22.71	74
24.13	83
26.24	51
32.62	83
33.48	100
34.32	99
37.56	48
38.99	74
39.89	73

Crystal structure
```
data_La3Si2S8Cl
_space_group_name_H-M_alt 'P 1'
_space_group_IT_number 1
_cell_length_a 8.827
_cell_length_b 8.827
_cell_length_c 11.092
_cell_angle_alpha 96.26
_cell_angle_beta 96.26
_cell_angle_gamma 52.65
loop_
_space_group_symop_operation_xyz
'x,y,z'
loop_
_atom_site_label
_atom_site_type_symbol
_atom_site_fract_x
_atom_site_fract_y
_atom_site_fract_z
La1 La 0.118 0.882 0.750
La2 La 0.189 0.427 0.315
La3 La 0.427 0.189 0.815
La4 La 0.573 0.811 0.185
La5 La 0.811 0.573 0.685
La6 La 0.882 0.118 0.250
Si1 Si 0.129 0.192 0.030
Si2 Si 0.192 0.129 0.530
Si3 Si 0.808 0.871 0.470
Si4 Si 0.871 0.808 0.970
S1 S 0.059 0.238 0.841
S2 S 0.089 0.780 0.449
S3 S 0.100 0.606 0.858
S4 S 0.209 0.358 0.585
S5 S 0.220 0.911 0.051
S6 S 0.238 0.059 0.341
S7 S 0.358 0.209 0.085
S8 S 0.394 0.900 0.642
S9 S 0.606 0.100 0.358
S10 S 0.642 0.791 0.915
S11 S 0.762 0.941 0.659
S12 S 0.780 0.089 0.949
S13 S 0.791 0.642 0.415
S14 S 0.900 0.394 0.142
S15 S 0.911 0.220 0.551
S16 S 0.941 0.762 0.159
Cl1 Cl 0.496 0.504 0.750
Cl2 Cl 0.504 0.496 0.250
```



(4)
This entry pairs a crystal structure of BaCaSmNbO6 with its simulated X-ray powder pattern. Radiation: Cu Kα (λ = 1.5418 Å). Structure: a GGA-PBE-relaxed structure.
Peak positions follow from Bragg's law for the DFT cell and can differ from measured ones.

The 10 most intense peaks (2θ from 15° to 90°), sorted by position:
2θ (°)	I_rel
17.91	14
20.71	9
29.46	100
34.69	10
42.15	33
52.25	40
61.13	20
69.29	18
77.04	6
84.55	21

Crystal structure
```
data_BaCaSmNbO6
_space_group_name_H-M_alt 'P 1'
_space_group_IT_number 1
_cell_length_a 6.064
_cell_length_b 6.064
_cell_length_c 6.064
_cell_angle_alpha 60.00
_cell_angle_beta 60.00
_cell_angle_gamma 60.00
loop_
_space_group_symop_operation_xyz
'x,y,z'
loop_
_atom_site_label
_atom_site_type_symbol
_atom_site_fract_x
_atom_site_fract_y
_atom_site_fract_z
Ba1 Ba 0.000 0.000 0.000
Ca1 Ca 0.500 0.500 0.500
Sm1 Sm 0.250 0.250 0.250
Nb1 Nb 0.750 0.750 0.750
O1 O 0.516 0.516 0.984
O2 O 0.516 0.984 0.516
O3 O 0.516 0.984 0.984
O4 O 0.984 0.516 0.516
O5 O 0.984 0.516 0.984
O6 O 0.984 0.984 0.516
```



(5)
This entry pairs a crystal structure of Ba6Dy2Al4O15 with its simulated X-ray powder pattern. Radiation: Cu Kα (λ = 1.5418 Å). Structure: a GGA-PBE-relaxed structure.
Peak positions follow from Bragg's law for the DFT cell and can differ from measured ones.

The 10 most intense peaks (2θ from 15° to 90°), sorted by position:
2θ (°)	I_rel
19.16	17
28.91	57
29.99	55
30.42	98
31.03	100
42.14	53
45.81	24
51.79	24
52.96	17
53.52	17

Crystal structure
```
data_Ba6Dy2Al4O15
_space_group_name_H-M_alt 'P 1'
_space_group_IT_number 1
_cell_length_a 7.927
_cell_length_b 5.958
_cell_length_c 18.539
_cell_angle_alpha 90.00
_cell_angle_beta 91.60
_cell_angle_gamma 90.00
loop_
_space_group_symop_operation_xyz
'x,y,z'
loop_
_atom_site_label
_atom_site_type_symbol
_atom_site_fract_x
_atom_site_fract_y
_atom_site_fract_z
Ba1 Ba 0.000 0.170 0.250
Ba2 Ba 0.000 0.830 0.750
Ba3 Ba 0.002 0.258 0.918
Ba4 Ba 0.002 0.742 0.418
Ba5 Ba 0.469 0.245 0.911
Ba6 Ba 0.469 0.755 0.411
Ba7 Ba 0.500 0.224 0.250
Ba8 Ba 0.500 0.776 0.750
Ba9 Ba 0.531 0.245 0.589
Ba10 Ba 0.531 0.755 0.089
Ba11 Ba 0.998 0.258 0.582
Ba12 Ba 0.998 0.742 0.082
Dy1 Dy 0.251 0.246 0.090
Dy2 Dy 0.251 0.754 0.590
Dy3 Dy 0.749 0.246 0.410
Dy4 Dy 0.749 0.754 0.910
Al1 Al 0.253 0.251 0.444
Al2 Al 0.253 0.749 0.944
Al3 Al 0.279 0.272 0.732
Al4 Al 0.279 0.728 0.232
Al5 Al 0.721 0.272 0.768
Al6 Al 0.721 0.728 0.268
Al7 Al 0.747 0.251 0.056
Al8 Al 0.747 0.749 0.556
O1 O 0.040 0.254 0.408
O2 O 0.040 0.746 0.908
O3 O 0.193 0.186 0.813
O4 O 0.193 0.814 0.313
O5 O 0.231 0.470 0.189
O6 O 0.231 0.530 0.689
O7 O 0.253 0.051 0.667
O8 O 0.253 0.949 0.167
O9 O 0.262 0.491 0.504
O10 O 0.262 0.509 0.004
O11 O 0.264 0.005 0.500
O12 O 0.264 0.995 0.000
O13 O 0.444 0.259 0.394
O14 O 0.444 0.741 0.894
O15 O 0.500 0.289 0.750
O16 O 0.500 0.711 0.250
O17 O 0.556 0.259 0.106
O18 O 0.556 0.741 0.606
O19 O 0.736 0.005 0.000
O20 O 0.736 0.995 0.500
O21 O 0.738 0.491 0.996
O22 O 0.738 0.509 0.496
O23 O 0.747 0.051 0.833
O24 O 0.747 0.949 0.333
O25 O 0.769 0.470 0.311
O26 O 0.769 0.530 0.811
O27 O 0.807 0.186 0.687
O28 O 0.807 0.814 0.187
O29 O 0.960 0.254 0.092
O30 O 0.960 0.746 0.592
```



(6)
This entry pairs a crystal structure of MgZr3U7O20 with its simulated X-ray powder pattern. Radiation: Cu Kα (λ = 1.5418 Å). Structure: a GGA-PBE-relaxed structure.
Peak positions follow from Bragg's law for the DFT cell and can differ from measured ones.

The 10 most intense peaks (2θ from 15° to 90°), sorted by position:
2θ (°)	I_rel
25.81	40
28.88	100
29.07	57
31.10	24
32.95	48
48.68	34
49.00	27
49.06	20
56.55	24
58.05	24

Crystal structure
```
data_MgZr3U7O20
_space_group_name_H-M_alt 'P 1'
_space_group_IT_number 1
_cell_length_a 3.714
_cell_length_b 6.498
_cell_length_c 17.366
_cell_angle_alpha 88.15
_cell_angle_beta 83.89
_cell_angle_gamma 89.92
loop_
_space_group_symop_operation_xyz
'x,y,z'
loop_
_atom_site_label
_atom_site_type_symbol
_atom_site_fract_x
_atom_site_fract_y
_atom_site_fract_z
Mg1 Mg 0.000 0.000 0.000
Zr1 Zr 0.566 0.868 0.867
Zr2 Zr 0.655 0.565 0.685
Zr3 Zr 0.838 0.933 0.328
U1 U 0.063 0.381 0.877
U2 U 0.152 0.067 0.696
U3 U 0.247 0.751 0.509
U4 U 0.339 0.433 0.325
U5 U 0.428 0.114 0.149
U6 U 0.748 0.247 0.509
U7 U 0.929 0.622 0.143
O1 O 0.036 0.754 0.931
O2 O 0.087 0.057 0.829
O3 O 0.130 0.420 0.745
O4 O 0.176 0.730 0.648
O5 O 0.223 0.078 0.558
O6 O 0.271 0.424 0.462
O7 O 0.318 0.771 0.369
O8 O 0.362 0.100 0.282
O9 O 0.410 0.446 0.184
O10 O 0.461 0.809 0.086
O11 O 0.527 0.108 0.949
O12 O 0.576 0.545 0.851
O13 O 0.628 0.866 0.744
O14 O 0.676 0.244 0.653
O15 O 0.721 0.577 0.561
O16 O 0.772 0.917 0.459
O17 O 0.817 0.252 0.371
O18 O 0.863 0.607 0.279
O19 O 0.904 0.938 0.196
O20 O 0.961 0.236 0.080
```



(7)
This entry pairs a crystal structure of Mn4Si3Ni5 with its simulated X-ray powder pattern. Radiation: Cu Kα (λ = 1.5418 Å). Structure: a GGA-PBE-relaxed structure.
Peak positions follow from Bragg's law for the DFT cell and can differ from measured ones.

The 10 most intense peaks (2θ from 15° to 90°), sorted by position:
2θ (°)	I_rel
38.19	20
42.36	100
44.23	24
45.27	48
45.45	60
45.93	86
46.17	50
48.52	22
79.10	25
81.73	20

Crystal structure
```
data_Mn4Si3Ni5
_space_group_name_H-M_alt 'P 1'
_space_group_IT_number 1
_cell_length_a 7.505
_cell_length_b 4.713
_cell_length_c 4.713
_cell_angle_alpha 60.35
_cell_angle_beta 90.00
_cell_angle_gamma 90.00
loop_
_space_group_symop_operation_xyz
'x,y,z'
loop_
_atom_site_label
_atom_site_type_symbol
_atom_site_fract_x
_atom_site_fract_y
_atom_site_fract_z
Mn1 Mn 0.184 0.000 0.000
Mn2 Mn 0.310 0.334 0.334
Mn3 Mn 0.690 0.334 0.334
Mn4 Mn 0.816 0.000 0.000
Si1 Si 0.243 0.657 0.657
Si2 Si 0.500 0.851 0.851
Si3 Si 0.757 0.657 0.657
Ni1 Ni 0.000 0.004 0.496
Ni2 Ni 0.000 0.493 0.493
Ni3 Ni 0.000 0.496 0.004
Ni4 Ni 0.500 0.340 0.842
Ni5 Ni 0.500 0.842 0.340
```



(8)
This entry pairs a crystal structure of KCu2AsS3 with its simulated X-ray powder pattern. Radiation: Cu Kα (λ = 1.5418 Å). Structure: a GGA-PBE-relaxed structure.
Peak positions follow from Bragg's law for the DFT cell and can differ from measured ones.

The 10 most intense peaks (2θ from 15° to 90°), sorted by position:
2θ (°)	I_rel
28.17	38
29.80	100
30.83	80
31.02	61
31.22	34
31.60	67
34.65	36
42.32	36
51.24	35
55.97	33

Crystal structure
```
data_KCu2AsS3
_space_group_name_H-M_alt 'P 1'
_space_group_IT_number 1
_cell_length_a 6.339
_cell_length_b 8.973
_cell_length_c 10.354
_cell_angle_alpha 90.71
_cell_angle_beta 91.33
_cell_angle_gamma 90.65
loop_
_space_group_symop_operation_xyz
'x,y,z'
loop_
_atom_site_label
_atom_site_type_symbol
_atom_site_fract_x
_atom_site_fract_y
_atom_site_fract_z
K1 K 0.202 0.430 0.129
K2 K 0.294 0.567 0.631
K3 K 0.706 0.433 0.369
K4 K 0.798 0.570 0.871
Cu1 Cu 0.001 0.097 0.335
Cu2 Cu 0.072 0.847 0.045
Cu3 Cu 0.433 0.143 0.539
Cu4 Cu 0.485 0.248 0.856
Cu5 Cu 0.515 0.752 0.144
Cu6 Cu 0.567 0.857 0.461
Cu7 Cu 0.928 0.153 0.955
Cu8 Cu 0.999 0.903 0.665
As1 As 0.032 0.815 0.347
As2 As 0.482 0.952 0.855
As3 As 0.518 0.048 0.145
As4 As 0.968 0.185 0.653
S1 S 0.135 0.304 0.829
S2 S 0.137 0.275 0.474
S3 S 0.154 0.080 0.139
S4 S 0.350 0.729 0.944
S5 S 0.354 0.695 0.335
S6 S 0.361 0.918 0.644
S7 S 0.639 0.082 0.356
S8 S 0.646 0.305 0.665
S9 S 0.650 0.271 0.056
S10 S 0.846 0.920 0.861
S11 S 0.863 0.725 0.526
S12 S 0.865 0.696 0.171
```